Starting from a GGA-PBE-relaxed structure, the powder diffraction line list of RbZnH2Se2BrO6 was simulated for Cu Kα (weighted mean of Kα1 and Kα2).
Kinematic intensities with the Lorentz-polarization factor, no thermal factor.

Structure:
a b c (Å): 6.5659 6.2399 10.9502
angles (deg): 90.00 102.84 90.00
Space group P2/c (No. 13)
Asymmetric unit:
Rb: 0.0000 0.1626 0.2500
Zn: 0.5000 0.4504 0.7500
H: 0.0719 0.3434 0.5914
Se: 0.2937 0.3154 0.9866
Br: 0.5000 0.0543 0.7500
O: 0.0322 0.2189 0.9217
O: 0.2421 0.4523 0.1157
O: 0.3161 0.4790 0.3856

Most intense lines, 10° ≤ 2θ ≤ 90°, low angle first:
4.056 Å, intensity 25
3.912 Å, intensity 100
3.062 Å, intensity 43
3.022 Å, intensity 62
2.848 Å, intensity 19
2.805 Å, intensity 19
2.780 Å, intensity 24
2.694 Å, intensity 22
2.669 Å, intensity 26
2.510 Å, intensity 36